Starting from a DFT-relaxed cell (PBE+U, Alexandria), the X-ray powder pattern of PmPr2MoO8 was computed for Cu Kα.
Kinematic intensities with the Lorentz-polarization factor, no thermal factor.

Atomic structure:
Cell lengths 4.291, 7.285, 5.467 Å; angles 90.00, 95.48, 90.00 degrees
Space group P2/m (No. 10)
Inequivalent atoms, fractional coordinates:
1 Pm 0.000 0.000 0.000 x1
2 Pr 0.500 0.253 0.500 x2
3 Mo 0.000 0.500 0.000 x1
4 O 0.059 0.296 0.767 x4
5 O 0.410 0.500 0.182 x2
6 O 0.476 0.000 0.245 x2

Top 10 peaks for 2θ from 10° to 90°, sorted by position:
2θ 25.2, I = 70, (1 0 -1); 2θ 27.8, I = 56, (1 0 1); 2θ 29.5, I = 100, (0 2 1); 2θ 32.3, I = 46, (1 2 0); 2θ 32.9, I = 21, (0 0 2); 2θ 42.3, I = 25, (2 0 0); 2θ 45.2, I = 44, (1 2 -2); 2θ 48.3, I = 32, (1 2 2); 2θ 51.0, I = 21, (2 2 -1); 2θ 53.8, I = 18, (2 2 1)